Entry 1:
Diffraction record for SmHoRh2. The XRD peak list is computed, not measured: it uses a DFT-relaxed cell (GGA-PBE, the Materials Project) and CuKα.
Peak positions follow from Bragg's law for the DFT cell and can differ from measured ones.

Crystal structure
abc: 4.9035 4.9035 4.9035
angles: 60.00 60.00 60.00
Positions (direct):
1 Sm 0.0000 0.0000 0.0000
2 Ho 0.5000 0.5000 0.5000
3 Rh 0.2500 0.2500 0.2500
4 Rh 0.7500 0.7500 0.7500

The 7 most intense peaks (10 to 80 degrees two-theta), sorted by position:
- d 3.467, 25.69°, I 4
- d 2.452, 36.65°, I 100
- d 2.002, 45.30°, I 1
- d 1.734, 52.81°, I 17
- d 1.551, 59.63°, I 2
- d 1.416, 66.00°, I 35
- d 1.226, 77.93°, I 11

Entry 2:
Diffraction record for Ho5Sn18Rh6. The XRD peak list is computed, not measured: it uses a DFT-relaxed cell (GGA-PBE, the Materials Project) and CuKα.
Peak positions follow from Bragg's law for the DFT cell and can differ from measured ones.

Crystal structure
abc: 9.8949 9.8949 9.8949
angles: 60.00 60.00 60.00
Positions (direct):
1 Ho 0.0000 0.0000 0.0000
2 Ho 0.1104 0.6299 0.6299
3 Ho 0.6299 0.1104 0.6299
4 Ho 0.6299 0.6299 0.1104
5 Ho 0.6299 0.6299 0.6299
6 Sn 0.0076 0.0076 0.3421
7 Sn 0.0076 0.0076 0.6427
8 Sn 0.0076 0.3421 0.0076
9 Sn 0.0076 0.3421 0.6427
10 Sn 0.0076 0.6427 0.0076
11 Sn 0.0076 0.6427 0.3421
12 Sn 0.2500 0.2500 0.2500
13 Sn 0.3421 0.0076 0.0076
14 Sn 0.3421 0.0076 0.6427
15 Sn 0.3421 0.6427 0.0076
16 Sn 0.4118 0.4118 0.4118
17 Sn 0.4118 0.4118 0.7645
18 Sn 0.4118 0.7645 0.4118
19 Sn 0.6427 0.0076 0.0076
20 Sn 0.6427 0.0076 0.3421
21 Sn 0.6427 0.3421 0.0076
22 Sn 0.7500 0.7500 0.7500
23 Sn 0.7645 0.4118 0.4118
24 Rh 0.2541 0.2541 0.7459
25 Rh 0.2541 0.7459 0.2541
26 Rh 0.2541 0.7459 0.7459
27 Rh 0.7459 0.2541 0.2541
28 Rh 0.7459 0.2541 0.7459
29 Rh 0.7459 0.7459 0.2541

The 12 most intense peaks (10 to 80 degrees two-theta), sorted by position:
- d 4.040, 22.00°, I 7
- d 2.856, 31.32°, I 18
- d 2.693, 33.27°, I 100
- d 2.474, 36.32°, I 41
- d 2.365, 38.04°, I 18
- d 2.332, 38.60°, I 17
- d 2.110, 42.87°, I 32
- d 1.649, 55.74°, I 30
- d 1.616, 56.99°, I 9
- d 1.605, 57.41°, I 7
- d 1.428, 65.34°, I 21
- d 1.406, 66.48°, I 14

Entry 3:
Diffraction record for Ho2Sn5Rh3. The XRD peak list is computed, not measured: it uses a DFT-relaxed cell (GGA-PBE, the Materials Project) and CuKα.
Peak positions follow from Bragg's law for the DFT cell and can differ from measured ones.

Crystal structure
abc: 13.4633 13.4633 7.3404
angles: 90.00 90.00 161.23
Positions (direct):
1 Ho 0.0241 0.9759 0.5000
2 Ho 0.3274 0.6726 0.4807
3 Ho 0.6726 0.3274 0.9807
4 Ho 0.9759 0.0241 0.0000
5 Sn 0.0964 0.9036 0.1220
6 Sn 0.2047 0.7953 0.6865
7 Sn 0.2095 0.7905 0.2581
8 Sn 0.3806 0.6194 0.0051
9 Sn 0.4524 0.5476 0.3385
10 Sn 0.5476 0.4524 0.8385
11 Sn 0.6194 0.3806 0.5051
12 Sn 0.7905 0.2095 0.7581
13 Sn 0.7953 0.2047 0.1865
14 Sn 0.9036 0.0964 0.6220
15 Rh 0.1060 0.8940 0.7542
16 Rh 0.2766 0.7234 0.9710
17 Rh 0.4498 0.5502 0.7174
18 Rh 0.5502 0.4498 0.2174
19 Rh 0.7234 0.2766 0.4710
20 Rh 0.8940 0.1060 0.2542

The 12 most intense peaks (10 to 80 degrees two-theta), sorted by position:
- d 2.684, 33.39°, I 100
- d 2.674, 33.51°, I 74
- d 2.498, 35.95°, I 26
- d 2.450, 36.68°, I 21
- d 2.296, 39.24°, I 19
- d 2.196, 41.11°, I 44
- d 2.078, 43.56°, I 14
- d 2.037, 44.47°, I 15
- d 1.649, 55.74°, I 15
- d 1.587, 58.13°, I 12
- d 1.477, 62.93°, I 20
- d 1.343, 70.04°, I 22

Number 1 is which compound? SmHoRh2

Copy entry 1 word for word.
Diffraction record for SmHoRh2. The XRD peak list is computed, not measured: it uses a DFT-relaxed cell (GGA-PBE, the Materials Project) and CuKα.
Peak positions follow from Bragg's law for the DFT cell and can differ from measured ones.

Crystal structure
abc: 4.9035 4.9035 4.9035
angles: 60.00 60.00 60.00
Positions (direct):
1 Sm 0.0000 0.0000 0.0000
2 Ho 0.5000 0.5000 0.5000
3 Rh 0.2500 0.2500 0.2500
4 Rh 0.7500 0.7500 0.7500

The 7 most intense peaks (10 to 80 degrees two-theta), sorted by position:
- d 3.467, 25.69°, I 4
- d 2.452, 36.65°, I 100
- d 2.002, 45.30°, I 1
- d 1.734, 52.81°, I 17
- d 1.551, 59.63°, I 2
- d 1.416, 66.00°, I 35
- d 1.226, 77.93°, I 11

What did the second record say?
Diffraction record for Ho5Sn18Rh6. The XRD peak list is computed, not measured: it uses a DFT-relaxed cell (GGA-PBE, the Materials Project) and CuKα.
Peak positions follow from Bragg's law for the DFT cell and can differ from measured ones.

Crystal structure
abc: 9.8949 9.8949 9.8949
angles: 60.00 60.00 60.00
Positions (direct):
1 Ho 0.0000 0.0000 0.0000
2 Ho 0.1104 0.6299 0.6299
3 Ho 0.6299 0.1104 0.6299
4 Ho 0.6299 0.6299 0.1104
5 Ho 0.6299 0.6299 0.6299
6 Sn 0.0076 0.0076 0.3421
7 Sn 0.0076 0.0076 0.6427
8 Sn 0.0076 0.3421 0.0076
9 Sn 0.0076 0.3421 0.6427
10 Sn 0.0076 0.6427 0.0076
11 Sn 0.0076 0.6427 0.3421
12 Sn 0.2500 0.2500 0.2500
13 Sn 0.3421 0.0076 0.0076
14 Sn 0.3421 0.0076 0.6427
15 Sn 0.3421 0.6427 0.0076
16 Sn 0.4118 0.4118 0.4118
17 Sn 0.4118 0.4118 0.7645
18 Sn 0.4118 0.7645 0.4118
19 Sn 0.6427 0.0076 0.0076
20 Sn 0.6427 0.0076 0.3421
21 Sn 0.6427 0.3421 0.0076
22 Sn 0.7500 0.7500 0.7500
23 Sn 0.7645 0.4118 0.4118
24 Rh 0.2541 0.2541 0.7459
25 Rh 0.2541 0.7459 0.2541
26 Rh 0.2541 0.7459 0.7459
27 Rh 0.7459 0.2541 0.2541
28 Rh 0.7459 0.2541 0.7459
29 Rh 0.7459 0.7459 0.2541

The 12 most intense peaks (10 to 80 degrees two-theta), sorted by position:
- d 4.040, 22.00°, I 7
- d 2.856, 31.32°, I 18
- d 2.693, 33.27°, I 100
- d 2.474, 36.32°, I 41
- d 2.365, 38.04°, I 18
- d 2.332, 38.60°, I 17
- d 2.110, 42.87°, I 32
- d 1.649, 55.74°, I 30
- d 1.616, 56.99°, I 9
- d 1.605, 57.41°, I 7
- d 1.428, 65.34°, I 21
- d 1.406, 66.48°, I 14